# Pm3MgTl3
Theoretical X-ray diffraction stick pattern, a wavelength of 1.5418 Å. Input: a DFT-relaxed cell (GGA-PBE, Alexandria).
Neutral-atom scattering factors, no anomalous dispersion.

Main lines, most intense first (2θ from 15° to 90°):
d [Å]	Position (°2θ)	intensity
2.664	33.65	100
2.781	32.18	26
3.034	29.44	25
1.582	58.32	21
1.482	62.68	19
1.752	52.22	17
2.050	44.18	17
1.464	63.57	14
1.123	86.70	10
4.634	19.15	9
1.174	82.08	7
1.332	70.74	4

Structural model:
Cell: 9.269 9.269 5.563 Å, 90.00 90.00 120.00°
Atoms (fractional coordinates):
Pm1 0.096 0.646 0.250
Pm2 0.354 0.450 0.250
Pm3 0.450 0.096 0.750
Pm4 0.550 0.904 0.250
Pm5 0.646 0.550 0.750
Pm6 0.904 0.354 0.750
Mg1 0.333 0.667 0.750
Mg2 0.667 0.333 0.250
Tl1 0.054 0.806 0.750
Tl2 0.194 0.248 0.750
Tl3 0.248 0.054 0.250
Tl4 0.752 0.946 0.750
Tl5 0.806 0.752 0.250
Tl6 0.946 0.194 0.250


# Pm4Mg3Tl2
Theoretical X-ray diffraction stick pattern, a wavelength of 1.5418 Å. Input: a DFT-relaxed cell (GGA-PBE, Alexandria).
Neutral-atom scattering factors, no anomalous dispersion.

Main lines, most intense first (2θ from 15° to 90°):
d [Å]	Position (°2θ)	intensity
2.694	33.26	100
2.766	32.36	100
4.251	20.90	49
1.569	58.86	36
1.930	47.09	35
5.153	17.21	23
2.387	37.68	20
1.555	59.43	19
1.612	57.15	16
1.211	79.07	15
1.230	77.59	13
2.255	39.98	13

Structural model:
Cell: 5.388 5.388 10.305 Å, 90.00 90.00 120.00°
Atoms (fractional coordinates):
Pm1 0.000 0.000 0.171
Pm2 0.000 0.000 0.829
Pm3 0.333 0.667 0.621
Pm4 0.667 0.333 0.379
Mg1 0.000 0.000 0.500
Mg2 0.333 0.667 0.994
Mg3 0.667 0.333 0.006
Tl1 0.333 0.667 0.299
Tl2 0.667 0.333 0.701


# Pm3Mg2Tl3
Theoretical X-ray diffraction stick pattern, a wavelength of 1.5418 Å. Input: a DFT-relaxed cell (GGA-PBE, Alexandria).
Neutral-atom scattering factors, no anomalous dispersion.

Main lines, most intense first (2θ from 15° to 90°):
d [Å]	Position (°2θ)	intensity
2.758	32.46	100
1.678	54.71	23
2.476	36.28	20
3.171	28.14	19
2.282	39.49	16
1.478	62.87	15
2.421	37.14	15
1.393	67.22	12
3.228	27.64	11
1.731	52.90	10
1.379	67.97	10
1.660	55.33	10

Structural model:
Cell: 4.564 4.952 19.366 Å, 90.00 90.00 90.00°
Atoms (fractional coordinates):
Pm1 0.000 0.000 0.000
Pm2 0.000 0.500 0.129
Pm3 0.000 0.500 0.871
Pm4 0.500 0.000 0.371
Pm5 0.500 0.000 0.629
Pm6 0.500 0.500 0.500
Mg1 0.000 0.000 0.246
Mg2 0.000 0.000 0.754
Mg3 0.500 0.500 0.254
Mg4 0.500 0.500 0.746
Tl1 0.000 0.000 0.500
Tl2 0.000 0.500 0.359
Tl3 0.000 0.500 0.641
Tl4 0.500 0.000 0.141
Tl5 0.500 0.000 0.859
Tl6 0.500 0.500 0.000


# Pm12Mg2Tl5
Theoretical X-ray diffraction stick pattern, a wavelength of 1.5418 Å. Input: a DFT-relaxed cell (GGA-PBE, Alexandria).
Neutral-atom scattering factors, no anomalous dispersion.

Main lines, most intense first (2θ from 15° to 90°):
d [Å]	Position (°2θ)	intensity
2.865	31.22	100
2.498	35.95	64
2.569	34.93	57
2.823	31.69	55
2.943	30.37	55
3.232	27.60	48
2.738	32.70	46
2.676	33.49	34
1.552	59.57	28
2.757	32.48	28
2.426	37.06	28
3.124	28.57	24

Structural model:
Cell: 8.490 8.490 8.696 Å, 93.81 93.81 69.71°
Atoms (fractional coordinates):
Pm1 0.081 0.081 0.181
Pm2 0.085 0.680 0.140
Pm3 0.165 0.535 0.705
Pm4 0.320 0.915 0.860
Pm5 0.406 0.406 0.357
Pm6 0.465 0.835 0.295
Pm7 0.535 0.165 0.705
Pm8 0.594 0.594 0.643
Pm9 0.680 0.085 0.140
Pm10 0.835 0.465 0.295
Pm11 0.915 0.320 0.860
Pm12 0.919 0.919 0.819
Mg1 0.168 0.832 0.500
Mg2 0.832 0.168 0.500
Tl1 0.183 0.183 0.530
Tl2 0.278 0.278 0.021
Tl3 0.500 0.500 0.000
Tl4 0.722 0.722 0.979
Tl5 0.817 0.817 0.470


What did the second record say?
# Pm4Mg3Tl2
Theoretical X-ray diffraction stick pattern, a wavelength of 1.5418 Å. Input: a DFT-relaxed cell (GGA-PBE, Alexandria).
Neutral-atom scattering factors, no anomalous dispersion.

Main lines, most intense first (2θ from 15° to 90°):
d [Å]	Position (°2θ)	intensity
2.694	33.26	100
2.766	32.36	100
4.251	20.90	49
1.569	58.86	36
1.930	47.09	35
5.153	17.21	23
2.387	37.68	20
1.555	59.43	19
1.612	57.15	16
1.211	79.07	15
1.230	77.59	13
2.255	39.98	13

Structural model:
Cell: 5.388 5.388 10.305 Å, 90.00 90.00 120.00°
Atoms (fractional coordinates):
Pm1 0.000 0.000 0.171
Pm2 0.000 0.000 0.829
Pm3 0.333 0.667 0.621
Pm4 0.667 0.333 0.379
Mg1 0.000 0.000 0.500
Mg2 0.333 0.667 0.994
Mg3 0.667 0.333 0.006
Tl1 0.333 0.667 0.299
Tl2 0.667 0.333 0.701